(1)
Simulated X-ray diffraction stick pattern
Compound: Er2B6Ru
Radiation: copper Kα
Structure: DFT lattice parameters and positions (GGA-PBE)
Neutral-atom scattering factors, no anomalous dispersion.

Most intense lines, 10° ≤ 2θ ≤ 80°, by intensity:
2θ (°)  I (rel.)
24.48  100
39.51  92
30.52  75
41.87  35
40.06  33
41.32  32
33.42  27
31.20  27
32.75  25
59.88  23

Crystal structure
Unit cell a=9.099 b=11.466 c=3.636 alpha=90.00 beta=90.00 gamma=90.00
Positions (direct):
Er (0.056, 0.127, 0.000)
Er (0.178, 0.414, 0.000)
Er (0.322, 0.914, 0.000)
Er (0.444, 0.627, 0.000)
Er (0.556, 0.373, 0.000)
Er (0.678, 0.086, 0.000)
Er (0.822, 0.586, 0.000)
Er (0.944, 0.873, 0.000)
B (0.017, 0.287, 0.500)
B (0.053, 0.567, 0.500)
B (0.109, 0.970, 0.500)
B (0.131, 0.815, 0.500)
B (0.209, 0.234, 0.500)
B (0.248, 0.580, 0.500)
B (0.252, 0.080, 0.500)
B (0.291, 0.734, 0.500)
B (0.369, 0.315, 0.500)
B (0.391, 0.470, 0.500)
B (0.447, 0.067, 0.500)
B (0.483, 0.787, 0.500)
B (0.517, 0.213, 0.500)
B (0.553, 0.933, 0.500)
B (0.609, 0.530, 0.500)
B (0.631, 0.685, 0.500)
B (0.709, 0.266, 0.500)
B (0.748, 0.920, 0.500)
B (0.752, 0.420, 0.500)
B (0.791, 0.766, 0.500)
B (0.869, 0.185, 0.500)
B (0.891, 0.030, 0.500)
B (0.947, 0.433, 0.500)
B (0.983, 0.713, 0.500)
Ru (0.138, 0.679, 0.000)
Ru (0.362, 0.179, 0.000)
Ru (0.638, 0.821, 0.000)
Ru (0.862, 0.321, 0.000)

(2)
Simulated X-ray diffraction stick pattern
Compound: Ho3ErBi2
Radiation: copper Kα
Structure: DFT lattice parameters and positions (GGA-PBE)
Neutral-atom scattering factors, no anomalous dispersion.

Most intense lines, 10° ≤ 2θ ≤ 80°, by intensity:
2θ (°)  I (rel.)
34.99  100
29.78  81
39.79  59
51.52  40
31.37  40
69.13  34
57.55  30
27.85  22
37.26  19
67.01  18

Crystal structure
Unit cell a=4.531 b=4.531 c=8.554 alpha=90.00 beta=90.00 gamma=90.00
Positions (direct):
Ho (0.000, 0.000, 0.000)
Ho (0.000, 0.500, 0.656)
Ho (0.500, 0.000, 0.344)
Er (0.500, 0.500, 0.000)
Bi (0.000, 0.500, 0.285)
Bi (0.500, 0.000, 0.715)

(3)
Simulated X-ray diffraction stick pattern
Compound: Ba5Y8Zn4O21
Radiation: copper Kα
Structure: DFT lattice parameters and positions (GGA-PBE)
Neutral-atom scattering factors, no anomalous dispersion.

Most intense lines, 10° ≤ 2θ ≤ 80°, by intensity:
2θ (°)  I (rel.)
30.67  100
31.02  34
27.80  25
54.96  19
37.65  18
35.80  17
42.74  16
49.55  15
41.69  13
28.66  12

Crystal structure
Unit cell a=10.263 b=10.263 c=10.263 alpha=94.53 beta=94.53 gamma=147.37
Positions (direct):
Ba (0.000, 0.000, 0.000)
Ba (0.139, 0.465, 0.604)
Ba (0.465, 0.861, 0.326)
Ba (0.535, 0.139, 0.674)
Ba (0.861, 0.535, 0.396)
Y (0.168, 0.752, 0.920)
Y (0.248, 0.168, 0.415)
Y (0.358, 0.589, 0.946)
Y (0.411, 0.358, 0.769)
Y (0.589, 0.642, 0.231)
Y (0.642, 0.411, 0.054)
Y (0.752, 0.832, 0.585)
Y (0.832, 0.248, 0.080)
Zn (0.041, 0.251, 0.292)
Zn (0.251, 0.959, 0.211)
Zn (0.749, 0.041, 0.789)
Zn (0.959, 0.749, 0.708)
O (0.010, 0.604, 0.110)
O (0.037, 0.628, 0.665)
O (0.072, 0.202, 0.774)
O (0.100, 0.990, 0.594)
O (0.202, 0.428, 0.131)
O (0.297, 0.072, 0.869)
O (0.372, 0.037, 0.409)
O (0.396, 0.505, 0.406)
O (0.428, 0.297, 0.226)
O (0.495, 0.900, 0.890)
O (0.500, 0.500, 0.000)
O (0.505, 0.100, 0.110)
O (0.572, 0.703, 0.774)
O (0.604, 0.495, 0.594)
O (0.628, 0.963, 0.591)
O (0.703, 0.928, 0.131)
O (0.798, 0.572, 0.869)
O (0.900, 0.010, 0.406)
O (0.928, 0.798, 0.226)
O (0.963, 0.372, 0.335)
O (0.990, 0.396, 0.890)

(4)
Simulated X-ray diffraction stick pattern
Compound: Nb8N5
Radiation: copper Kα
Structure: DFT lattice parameters and positions (GGA-PBE)
Neutral-atom scattering factors, no anomalous dispersion.

Most intense lines, 10° ≤ 2θ ≤ 80°, by intensity:
2θ (°)  I (rel.)
35.43  100
41.22  46
59.54  29
71.39  26
40.99  23
59.71  15
74.98  14
71.07  13

Crystal structure
Unit cell a=4.380 b=4.380 c=8.808 alpha=90.00 beta=90.00 gamma=90.00
Positions (direct):
Nb (0.000, 0.000, 0.247)
Nb (0.000, 0.000, 0.753)
Nb (0.000, 0.500, 0.000)
Nb (0.000, 0.500, 0.500)
Nb (0.500, 0.000, 0.000)
Nb (0.500, 0.000, 0.500)
Nb (0.500, 0.500, 0.249)
Nb (0.500, 0.500, 0.751)
N (0.000, 0.500, 0.250)
N (0.000, 0.500, 0.750)
N (0.500, 0.000, 0.250)
N (0.500, 0.000, 0.750)
N (0.500, 0.500, 0.500)

(5)
Simulated X-ray diffraction stick pattern
Compound: La2ZrAs
Radiation: copper Kα
Structure: DFT lattice parameters and positions (GGA-PBE)
Neutral-atom scattering factors, no anomalous dispersion.

Most intense lines, 10° ≤ 2θ ≤ 80°, by intensity:
2θ (°)  I (rel.)
32.83  100
34.47  70
26.59  42
60.71  33
48.50  28
49.54  25
33.05  21
41.37  17
62.43  14
60.85  14

Crystal structure
Unit cell a=3.680 b=3.680 c=8.132 alpha=90.00 beta=90.00 gamma=90.00
Positions (direct):
La (0.000, 0.000, 0.000)
La (0.500, 0.500, 0.347)
Zr (0.000, 0.000, 0.619)
As (0.500, 0.500, 0.755)

(6)
Simulated X-ray diffraction stick pattern
Compound: RbSrHgI5
Radiation: copper Kα
Structure: DFT lattice parameters and positions (GGA-PBE)
Neutral-atom scattering factors, no anomalous dispersion.

Most intense lines, 10° ≤ 2θ ≤ 80°, by intensity:
2θ (°)  I (rel.)
20.80  100
23.93  99
38.14  44
33.39  43
15.88  39
18.10  35
16.48  34
35.35  33
44.26  33
29.40  31

Crystal structure
Unit cell a=8.878 b=8.878 c=11.752 alpha=104.61 beta=104.61 gamma=105.25
Positions (direct):
Rb (0.151, 0.849, 0.750)
Rb (0.849, 0.151, 0.250)
Sr (0.500, 0.500, 0.000)
Sr (0.500, 0.500, 0.500)
Hg (0.182, 0.818, 0.250)
Hg (0.818, 0.182, 0.750)
I (0.120, 0.238, 0.947)
I (0.162, 0.589, 0.382)
I (0.238, 0.120, 0.447)
I (0.409, 0.591, 0.750)
I (0.411, 0.838, 0.118)
I (0.589, 0.162, 0.882)
I (0.591, 0.409, 0.250)
I (0.762, 0.880, 0.553)
I (0.838, 0.411, 0.618)
I (0.880, 0.762, 0.053)

(7)
Simulated X-ray diffraction stick pattern
Compound: Tm4ZnPd3
Radiation: copper Kα
Structure: DFT lattice parameters and positions (GGA-PBE)
Neutral-atom scattering factors, no anomalous dispersion.

Most intense lines, 10° ≤ 2θ ≤ 80°, by intensity:
2θ (°)  I (rel.)
32.61  100
40.78  55
40.04  32
33.93  29
35.33  27
39.55  20
49.74  18
25.99  17
53.46  16
54.45  16

Crystal structure
Unit cell a=3.666 b=4.504 c=10.568 alpha=90.00 beta=90.00 gamma=90.00
Positions (direct):
Tm (0.000, 0.000, 0.000)
Tm (0.000, 0.500, 0.272)
Tm (0.500, 0.000, 0.488)
Tm (0.500, 0.500, 0.776)
Zn (0.000, 0.000, 0.713)
Pd (0.000, 0.500, 0.556)
Pd (0.500, 0.000, 0.221)
Pd (0.500, 0.500, 0.047)

- Number 3 is which compound?
  Ba5Y8Zn4O21